No. 1
This entry pairs a crystal structure of ErTl3In3I8 with its theoretical powder XRD pattern. Radiation: Cu Ka. Structure: DFT lattice parameters and positions (GGA-PBE).

Crystal structure
```
data_ErTl3In3I8
_chemical_formula_sum 'Er2 Tl6 In6 I16'
_symmetry_space_group_name_H-M 'C 1 2/m 1'
_symmetry_Int_Tables_number 12
_cell_length_a 17.0792
_cell_length_b 10.0046
_cell_length_c 9.9556
_cell_angle_alpha 90.00
_cell_angle_beta 124.27
_cell_angle_gamma 90.00
loop_
_symmetry_equiv_pos_as_xyz
'x,y,z'
'-x,-y,-z'
'-x,y,-z'
'x,-y,z'
'x+1/2,y+1/2,z'
'-x+1/2,-y+1/2,-z'
'-x+1/2,y+1/2,-z'
'x+1/2,-y+1/2,z'
loop_
_atom_site_label
_atom_site_type_symbol
_atom_site_fract_x
_atom_site_fract_y
_atom_site_fract_z
_atom_site_occupancy
Er1 Er 0.0000 0.0000 0.0000 1
Tl1 Tl 0.0000 0.0000 0.5000 1
Tl2 Tl 0.2500 0.2500 0.0000 1
In1 In 0.0000 0.5000 0.0000 1
In2 In 0.2500 0.2500 0.5000 1
I1 I 0.0009 0.2162 0.2149 1
I2 I 0.2151 0.0000 0.2169 1
I3 I 0.2485 0.5000 0.2519 1
```

Principal peaks in the range 10 to 80 degrees two-theta, by angle:
- 10.8 deg, d 8.184, I 27
- 25.2 deg, d 3.528, I 100
- 35.7 deg, d 2.516, I 25
- 35.9 deg, d 2.501, I 12
- 36.1 deg, d 2.488, I 12
- 36.3 deg, d 2.474, I 23
- 44.4 deg, d 2.040, I 12
- 51.8 deg, d 1.764, I 11
- 58.1 deg, d 1.589, I 10
- 58.9 deg, d 1.567, I 9

=====

No. 2
This entry pairs a crystal structure of La4Zn3 with its theoretical powder XRD pattern. Radiation: Cu Ka. Structure: DFT lattice parameters and positions (GGA-PBE).

Crystal structure
```
data_La4Zn3
_chemical_formula_sum 'La12 Zn9'
_symmetry_space_group_name_H-M 'R -3 m'
_symmetry_Int_Tables_number 166
_symmetry_space_group_name_Hall '-R 3 2"'
_cell_length_a 5.2746
_cell_length_b 5.2746
_cell_length_c 25.3908
_cell_angle_alpha 90.00
_cell_angle_beta 90.00
_cell_angle_gamma 120.00
loop_
_atom_site_label
_atom_site_type_symbol
_atom_site_fract_x
_atom_site_fract_y
_atom_site_fract_z
_atom_site_occupancy
La1 La 0.0000 0.0000 0.1204 1
La2 La 0.0000 0.0000 0.3722 1
Zn1 Zn 0.0000 0.0000 0.2471 1
Zn2 Zn 0.0000 0.0000 0.5000 1
```

Principal peaks in the range 10 to 80 degrees two-theta, by angle:
- 24.0 deg, d 3.708, I 46
- 34.0 deg, d 2.637, I 100
- 34.4 deg, d 2.606, I 94
- 42.0 deg, d 2.149, I 10
- 49.1 deg, d 1.854, I 34
- 55.1 deg, d 1.666, I 10
- 60.8 deg, d 1.523, I 18
- 61.1 deg, d 1.517, I 35
- 61.9 deg, d 1.499, I 15
- 71.6 deg, d 1.319, I 11

=====

No. 3
This entry pairs a crystal structure of TbSm6Dy3Sc2 with its theoretical powder XRD pattern. Radiation: Cu Ka. Structure: DFT lattice parameters and positions (GGA-PBE).

Crystal structure
```
data_TbSm6Dy3Sc2
_chemical_formula_sum 'Tb2 Sm12 Dy6 Sc4'
_symmetry_space_group_name_H-M 'C 1 2/m 1'
_symmetry_Int_Tables_number 12
_cell_length_a 6.1528
_cell_length_b 10.6523
_cell_length_c 11.6320
_cell_angle_alpha 90.00
_cell_angle_beta 100.12
_cell_angle_gamma 90.00
loop_
_symmetry_equiv_pos_as_xyz
'x,y,z'
'-x,-y,-z'
'-x,y,-z'
'x,-y,z'
'x+1/2,y+1/2,z'
'-x+1/2,-y+1/2,-z'
'-x+1/2,y+1/2,-z'
'x+1/2,-y+1/2,z'
loop_
_atom_site_label
_atom_site_type_symbol
_atom_site_fract_x
_atom_site_fract_y
_atom_site_fract_z
_atom_site_occupancy
Tb1 Tb 0.0000 0.0000 0.0000 1
Sm1 Sm 0.2458 0.5000 0.2448 1
Sm2 Sm 0.2504 0.1682 0.2449 1
Dy1 Dy 0.0000 0.1668 0.5000 1
Dy2 Dy 0.0000 0.5000 0.5000 1
Sc1 Sc 0.0000 0.3333 0.0000 1
```

Principal peaks in the range 10 to 80 degrees two-theta, by angle:
- 30.9 deg, d 2.896, I 100
- 31.2 deg, d 2.863, I 32
- 35.9 deg, d 2.500, I 66
- 51.5 deg, d 1.776, I 24
- 51.9 deg, d 1.761, I 23
- 61.2 deg, d 1.514, I 14
- 61.4 deg, d 1.509, I 28
- 61.9 deg, d 1.500, I 14
- 64.3 deg, d 1.448, I 12
- 76.1 deg, d 1.250, I 7

=====

No. 4
This entry pairs a crystal structure of Pm2HgCl2 with its theoretical powder XRD pattern. Radiation: Cu Ka. Structure: DFT lattice parameters and positions (GGA-PBE).

Crystal structure
```
data_Pm2HgCl2
_chemical_formula_sum 'Pm6 Hg3 Cl6'
_symmetry_space_group_name_H-M 'R -3 m'
_symmetry_Int_Tables_number 166
_symmetry_space_group_name_Hall '-R 3 2"'
_cell_length_a 4.0921
_cell_length_b 4.0921
_cell_length_c 32.6493
_cell_angle_alpha 90.00
_cell_angle_beta 90.00
_cell_angle_gamma 120.00
loop_
_atom_site_label
_atom_site_type_symbol
_atom_site_fract_x
_atom_site_fract_y
_atom_site_fract_z
_atom_site_occupancy
Pm1 Pm 0.0000 0.0000 0.1043 1
Hg1 Hg 0.0000 0.0000 0.5000 1
Cl1 Cl 0.0000 0.0000 0.2790 1
```

Principal peaks in the range 10 to 80 degrees two-theta, by angle:
- 25.7 deg, d 3.463, I 18
- 28.7 deg, d 3.115, I 100
- 33.5 deg, d 2.676, I 28
- 37.5 deg, d 2.401, I 41
- 44.2 deg, d 2.047, I 51
- 45.1 deg, d 2.011, I 15
- 53.6 deg, d 1.710, I 17
- 62.3 deg, d 1.491, I 15
- 69.2 deg, d 1.357, I 12
- 72.0 deg, d 1.312, I 14